Record 1
# SrTmCuSeS2
Simulated PXRD pattern, Cu Ka. Input: the GGA-PBE geometry in OQMD.

Structural model:
a = 3.946 Å, b = 13.322 Å, c = 10.390 Å
α = 90.00°, β = 90.00°, γ = 90.00°
Space group Cmcm (No. 63)
Symmetry-distinct sites (fractional):
Sr 0.000 0.236 0.250
Tm 0.000 0.000 0.000
Cu 0.000 0.473 0.750
Se 0.000 0.086 0.750
S 0.000 0.370 0.570

Top 10 peaks for 10° ≤ 2θ ≤ 90°, most intense first:
| two_theta | I_rel | h k l |
| --- | --- | --- |
| 35.0 | 100.0 | 1 3 2 |
| 13.3 | 99.3 | 0 2 0 |
| 31.5 | 75.9 | 1 3 1 |
| 34.5 | 48.7 | 0 0 4 |
| 44.6 | 45.7 | 1 5 2 |
| 21.7 | 44.6 | 0 2 2 |
| 29.2 | 33.0 | 1 1 2 |
| 46.0 | 30.6 | 2 0 0 |
| 44.4 | 27.1 | 0 6 2 |
| 23.5 | 27.0 | 1 1 0 |

Record 2
# ZrCu2TeSeS
Simulated PXRD pattern, Cu Ka. Input: the GGA-PBE geometry in OQMD.

Structural model:
a = 19.971 Å, b = 3.941 Å, c = 7.262 Å
α = 90.00°, β = 101.92°, γ = 90.00°
Space group C2/m (No. 12)
Symmetry-distinct sites (fractional):
Zr 0.139 0.000 0.038
Cu 0.049 0.500 0.162
Cu 0.209 0.000 0.424
Te 0.249 0.000 0.784
Se 0.074 0.500 0.829
S 0.091 0.000 0.321

Top 10 peaks for 10° ≤ 2θ ≤ 90°, most intense first:
| two_theta | I_rel | h k l |
| --- | --- | --- |
| 44.0 | 100.0 | 1 1 -3 |
| 12.5 | 94.3 | 0 0 1 |
| 26.4 | 88.7 | 3 1 0 |
| 30.5 | 82.8 | 3 1 1 |
| 46.1 | 57.1 | 0 2 0 |
| 13.8 | 56.2 | 2 0 -1 |
| 39.5 | 55.8 | 7 1 -1 |
| 38.7 | 52.1 | 4 0 -3 |
| 27.4 | 46.8 | 6 0 0 |
| 32.9 | 45.8 | 5 1 -1 |

Record 3
# ZrCu2TeSeS
Simulated PXRD pattern, Cu Ka. Input: the GGA-PBE geometry in OQMD.

Structural model:
a = 19.531 Å, b = 3.962 Å, c = 7.146 Å
α = 90.00°, β = 98.83°, γ = 90.00°
Space group C2/m (No. 12)
Symmetry-distinct sites (fractional):
Zr 0.137 0.000 0.043
Cu 0.043 0.500 0.164
Cu 0.210 0.000 0.425
Te 0.249 0.500 0.214
Se 0.082 0.000 0.352
S 0.079 0.500 0.860

Top 10 peaks for 10° ≤ 2θ ≤ 90°, most intense first:
| two_theta | I_rel | h k l |
| --- | --- | --- |
| 44.4 | 100.0 | 1 1 -3 |
| 14.4 | 86.9 | 2 0 -1 |
| 30.3 | 75.1 | 3 1 1 |
| 26.4 | 68.3 | 3 1 0 |
| 45.8 | 53.8 | 0 2 0 |
| 33.5 | 43.5 | 5 1 -1 |
| 40.3 | 43.5 | 7 1 -1 |
| 27.7 | 41.4 | 6 0 0 |
| 34.9 | 39.5 | 1 1 2 |
| 48.2 | 38.8 | 9 1 -1 |

Record 4
# ZrCu2TeSeS
Simulated PXRD pattern, Cu Ka. Input: the GGA-PBE geometry in OQMD.

Structural model:
a = 19.821 Å, b = 3.880 Å, c = 6.974 Å
α = 90.00°, β = 99.46°, γ = 90.00°
Space group C2/m (No. 12)
Symmetry-distinct sites (fractional):
Zr 0.151 0.000 0.042
Cu 0.052 0.500 0.153
Cu 0.208 0.000 0.442
Te 0.076 0.500 0.788
Se 0.247 0.500 0.217
S 0.093 0.000 0.324

Top 10 peaks for 10° ≤ 2θ ≤ 90°, most intense first:
| two_theta | I_rel | h k l |
| --- | --- | --- |
| 26.7 | 100.0 | 3 1 0 |
| 30.8 | 96.4 | 3 1 1 |
| 12.9 | 66.6 | 0 0 1 |
| 34.6 | 62.5 | 6 0 -2 |
| 46.8 | 62.4 | 0 2 0 |
| 45.5 | 60.7 | 1 1 -3 |
| 20.5 | 58.5 | 4 0 -1 |
| 35.7 | 54.6 | 1 1 2 |
| 47.9 | 47.4 | 9 1 -1 |
| 40.2 | 39.5 | 7 1 -1 |